1.
Calculated powder diffraction line list
Compound: LiV4Ge4O16
Radiation: Cu Kα X-rays
Structure: a crystal structure in the Materials Project, relaxed with GGA+U
Peak positions follow from Bragg's law for the DFT cell and can differ from measured ones.

Crystal structure
```
LiV4Ge4O16
1.0
4.3926 0.0000 0.0000
0.0263 4.7304 0.0000
0.2414 0.1045 11.7409
Li V Ge O
1 4 4 16
direct
0.0000 0.0000 0.0000
0.4286 0.2941 0.9677
0.4423 0.7508 0.1079
0.9090 0.7571 0.6006
0.9214 0.2621 0.4670
0.4002 0.2500 0.7149
0.4274 0.7664 0.3566
0.9026 0.7450 0.8423
0.9353 0.2666 0.2218
0.1431 0.5900 0.7222
0.1506 0.6122 0.9718
0.1563 0.0955 0.3469
0.1630 0.0847 0.5973
0.1707 0.0963 0.8437
0.1705 0.5881 0.4730
0.2028 0.1131 0.1112
0.2048 0.5989 0.2324
0.6402 0.4286 0.8360
0.6408 0.9199 0.9651
0.6627 0.4326 0.5973
0.6661 0.9292 0.2300
0.6674 0.9355 0.4731
0.6774 0.9263 0.7231
0.6974 0.4307 0.3456
0.6967 0.4351 0.1021
```

The 10 most intense peaks (15° ≤ 2θ ≤ 90°), by intensity:
| 2θ/deg | d_spacing | I (rel.) |
| --- | --- | --- |
| 28.8 | 3.099 | 100 |
| 28.5 | 3.129 | 45 |
| 28.9 | 3.089 | 44 |
| 56.3 | 1.634 | 37 |
| 30.9 | 2.892 | 31 |
| 30.3 | 2.952 | 30 |
| 36.2 | 2.484 | 26 |
| 35.9 | 2.504 | 25 |
| 38.0 | 2.365 | 22 |
| 63.4 | 1.468 | 21 |

2.
Calculated powder diffraction line list
Compound: LiVGeO5
Radiation: Cu Kα X-rays
Structure: a crystal structure in the Materials Project, relaxed with GGA+U
Peak positions follow from Bragg's law for the DFT cell and can differ from measured ones.

Crystal structure
```
LiVGeO5
1.0
4.7618 0.0000 0.0000
0.0000 6.4603 0.0000
-0.3087 0.0000 6.5654
Li V Ge O
2 2 2 10
direct
0.0000 0.0000 0.0000
0.0000 0.5000 0.0000
0.3865 0.2500 0.7460
0.6135 0.7500 0.2540
0.4972 0.7500 0.7563
0.5028 0.2500 0.2437
0.2474 0.2500 0.0402
0.2720 0.7500 0.2144
0.2765 0.5297 0.7713
0.2765 0.9703 0.7713
0.3208 0.2500 0.4723
0.6792 0.7500 0.5277
0.7235 0.0297 0.2287
0.7235 0.4703 0.2287
0.7280 0.2500 0.7856
0.7526 0.7500 0.9598
```

The 10 most intense peaks (15° ≤ 2θ ≤ 90°), by intensity:
| 2θ/deg | d_spacing | I (rel.) |
| --- | --- | --- |
| 18.7 | 4.757 | 100 |
| 27.2 | 3.283 | 49 |
| 27.6 | 3.230 | 49 |
| 33.5 | 2.672 | 44 |
| 32.4 | 2.763 | 24 |
| 43.1 | 2.100 | 20 |
| 33.9 | 2.644 | 19 |
| 60.5 | 1.529 | 14 |
| 39.1 | 2.302 | 14 |
| 23.2 | 3.830 | 13 |

3.
Calculated powder diffraction line list
Compound: LiV4Ge4O16
Radiation: Cu Kα X-rays
Structure: a crystal structure in the Materials Project, relaxed with GGA+U
Peak positions follow from Bragg's law for the DFT cell and can differ from measured ones.

Crystal structure
```
LiV4Ge4O16
1.0
4.4478 0.0000 0.0000
0.0000 11.5270 0.0000
-0.0649 0.0000 4.7647
Li V Ge O
1 4 4 16
direct
0.0000 0.0000 0.0000
0.0000 0.7309 0.0000
0.0000 0.8618 0.5000
0.5000 0.2314 0.0000
0.5000 0.3719 0.5000
0.0000 0.1233 0.5000
0.0000 0.4783 0.0000
0.5000 0.6216 0.5000
0.5000 0.9739 0.0000
0.2236 0.6059 0.1705
0.2280 0.9951 0.6729
0.2484 0.3604 0.1720
0.2496 0.8647 0.1566
0.2517 0.2377 0.6735
0.2544 0.7347 0.6732
0.2681 0.1077 0.1674
0.2752 0.4914 0.6689
0.7248 0.4914 0.3311
0.7319 0.1077 0.8326
0.7456 0.7347 0.3268
0.7483 0.2377 0.3265
0.7504 0.8647 0.8434
0.7516 0.3604 0.8280
0.7720 0.9951 0.3271
0.7764 0.6059 0.8295
```

The 10 most intense peaks (15° ≤ 2θ ≤ 90°), by intensity:
| 2θ/deg | d_spacing | I (rel.) |
| --- | --- | --- |
| 28.3 | 3.149 | 100 |
| 28.7 | 3.110 | 96 |
| 30.8 | 2.908 | 69 |
| 36.4 | 2.467 | 60 |
| 55.4 | 1.657 | 40 |
| 55.9 | 1.646 | 39 |
| 67.3 | 1.391 | 29 |
| 37.8 | 2.382 | 24 |
| 49.7 | 1.835 | 22 |
| 44.3 | 2.047 | 21 |

4.
Calculated powder diffraction line list
Compound: LiV4Ge4O16
Radiation: Cu Kα X-rays
Structure: a crystal structure in the Materials Project, relaxed with GGA+U
Peak positions follow from Bragg's law for the DFT cell and can differ from measured ones.

Crystal structure
```
LiV4Ge4O16
1.0
4.4361 0.0000 0.0000
-0.0231 4.7361 0.0000
-0.0822 -0.0129 11.5558
Li V Ge O
1 4 4 16
direct
0.0000 0.0000 0.0000
0.4989 0.0181 0.0024
0.5017 0.4960 0.8704
0.9974 0.0058 0.5065
0.9975 0.5048 0.3685
0.0021 0.0004 0.7545
0.4937 0.0032 0.2581
0.5007 0.5064 0.6168
0.9959 0.5096 0.1211
0.2260 0.8355 0.6284
0.2279 0.3381 0.2462
0.2383 0.3427 0.0019
0.2443 0.8401 0.8756
0.2476 0.8319 0.3751
0.2500 0.3320 0.4992
0.2595 0.8408 0.1294
0.2764 0.3342 0.7444
0.7239 0.6755 0.7447
0.7323 0.1735 0.1288
0.7469 0.1780 0.3742
0.7469 0.6785 0.4988
0.7508 0.6742 0.0021
0.7654 0.1742 0.8730
0.7653 0.6736 0.2462
0.7729 0.1745 0.6285
```

The 10 most intense peaks (15° ≤ 2θ ≤ 90°), by intensity:
| 2θ/deg | d_spacing | I (rel.) |
| --- | --- | --- |
| 28.6 | 3.125 | 100 |
| 28.7 | 3.110 | 99 |
| 36.4 | 2.466 | 56 |
| 30.6 | 2.919 | 34 |
| 30.9 | 2.898 | 34 |
| 38.0 | 2.368 | 24 |
| 49.6 | 1.837 | 22 |
| 55.5 | 1.656 | 21 |
| 55.8 | 1.647 | 20 |
| 55.6 | 1.652 | 20 |

5.
Calculated powder diffraction line list
Compound: LiVGeO5
Radiation: Cu Kα X-rays
Structure: a crystal structure in the Materials Project, relaxed with GGA+U
Peak positions follow from Bragg's law for the DFT cell and can differ from measured ones.

Crystal structure
```
LiVGeO5
1.0
4.5715 -4.6640 0.0000
4.5715 4.6640 0.0000
0.0000 0.0000 4.6448
Li V Ge O
2 2 2 10
direct
0.0000 0.5000 0.0000
0.5000 0.0000 0.0000
0.2500 0.7500 0.6145
0.7500 0.2500 0.3855
0.2500 0.2500 0.5000
0.7500 0.7500 0.5000
0.0315 0.2572 0.2740
0.2428 0.4685 0.7260
0.2500 0.7500 0.2634
0.2572 0.0315 0.7260
0.4685 0.2428 0.2740
0.5315 0.7572 0.7260
0.7428 0.9685 0.2740
0.7500 0.2500 0.7366
0.7572 0.5315 0.2740
0.9685 0.7428 0.7260
```

The 10 most intense peaks (15° ≤ 2θ ≤ 90°), by intensity:
| 2θ/deg | d_spacing | I (rel.) |
| --- | --- | --- |
| 27.3 | 3.264 | 100 |
| 19.1 | 4.645 | 85 |
| 33.6 | 2.671 | 80 |
| 23.5 | 3.785 | 28 |
| 56.4 | 1.632 | 22 |
| 60.1 | 1.539 | 20 |
| 43.4 | 2.084 | 13 |
| 44.2 | 2.051 | 13 |
| 59.7 | 1.548 | 10 |
| 66.7 | 1.403 | 10 |

6.
Calculated powder diffraction line list
Compound: MgMn2Ge4O12
Radiation: Cu Kα X-rays
Structure: a crystal structure in the Materials Project, relaxed with GGA+U
Peak positions follow from Bragg's law for the DFT cell and can differ from measured ones.

Crystal structure
```
MgMn2Ge4O12
1.0
5.0038 -4.3819 0.0000
5.0038 4.3819 0.0000
-1.8383 0.0000 5.3982
Mg Mn Ge O
1 2 4 12
direct
0.0000 0.0000 0.0000
0.6324 0.3676 0.0000
0.8090 0.1910 0.5000
0.1140 0.4847 0.0228
0.3377 0.0722 0.4890
0.5153 0.8860 0.9772
0.9278 0.6623 0.5110
0.0603 0.6720 0.8325
0.0749 0.1631 0.4043
0.1038 0.6425 0.3170
0.3280 0.9397 0.1675
0.3509 0.3456 0.0046
0.3575 0.8962 0.6830
0.5365 0.2427 0.5906
0.6544 0.6491 0.9954
0.7030 0.0753 0.0813
0.7572 0.4635 0.4094
0.8369 0.9251 0.5957
0.9247 0.2970 0.9187
```

The 10 most intense peaks (15° ≤ 2θ ≤ 90°), by intensity:
| 2θ/deg | d_spacing | I (rel.) |
| --- | --- | --- |
| 29.0 | 3.075 | 100 |
| 30.1 | 2.971 | 59 |
| 33.2 | 2.699 | 54 |
| 26.2 | 3.402 | 33 |
| 20.3 | 4.382 | 30 |
| 35.5 | 2.530 | 29 |
| 46.5 | 1.953 | 28 |
| 55.7 | 1.651 | 25 |
| 52.6 | 1.741 | 22 |
| 65.5 | 1.424 | 18 |

7.
Calculated powder diffraction line list
Compound: MgMnGeO4
Radiation: Cu Kα X-rays
Structure: a crystal structure in the Materials Project, relaxed with GGA+U
Peak positions follow from Bragg's law for the DFT cell and can differ from measured ones.

Crystal structure
```
MgMnGeO4
1.0
10.8327 0.0000 0.0000
0.0000 6.2367 0.0000
0.0000 0.0000 5.0123
Mg Mn Ge O
4 4 4 16
direct
0.0000 0.0000 0.0000
0.0000 0.5000 0.0000
0.5000 0.0000 0.5000
0.5000 0.5000 0.5000
0.2222 0.2500 0.4996
0.2778 0.7500 0.9996
0.7222 0.2500 0.0004
0.7778 0.7500 0.5004
0.0906 0.7500 0.4336
0.4094 0.2500 0.9336
0.5906 0.7500 0.0664
0.9094 0.2500 0.5664
0.0560 0.2500 0.7414
0.0860 0.7500 0.7838
0.1588 0.5246 0.2703
0.1588 0.9754 0.2703
0.3412 0.0246 0.7703
0.3412 0.4754 0.7703
0.4140 0.2500 0.2838
0.4440 0.7500 0.2414
0.5560 0.2500 0.7586
0.5860 0.7500 0.7162
0.6588 0.5246 0.2297
0.6588 0.9754 0.2297
0.8412 0.0246 0.7297
0.8412 0.4754 0.7297
0.9140 0.2500 0.2162
0.9440 0.7500 0.2586
```

The 10 most intense peaks (15° ≤ 2θ ≤ 90°), by intensity:
| 2θ/deg | d_spacing | I (rel.) |
| --- | --- | --- |
| 33.8 | 2.652 | 100 |
| 34.9 | 2.572 | 58 |
| 21.7 | 4.089 | 41 |
| 28.6 | 3.118 | 35 |
| 19.5 | 4.549 | 27 |
| 54.1 | 1.695 | 25 |
| 36.2 | 2.484 | 25 |
| 30.5 | 2.930 | 23 |
| 49.6 | 1.838 | 23 |
| 59.1 | 1.562 | 22 |

8.
Calculated powder diffraction line list
Compound: Pr2MgMn2Ge2O10
Radiation: Cu Kα X-rays
Structure: a crystal structure in the Materials Project, relaxed with GGA+U
Peak positions follow from Bragg's law for the DFT cell and can differ from measured ones.

Crystal structure
```
Pr2MgMn2Ge2O10
1.0
5.7885 0.0000 0.0000
-1.8552 5.8160 0.0000
-0.9065 -2.6463 6.8771
Pr Mg Mn Ge O
2 1 2 2 10
direct
0.1463 0.2944 0.2655
0.8537 0.7056 0.7345
0.5000 0.5000 0.0000
0.5000 0.0000 0.0000
0.5000 0.0000 0.5000
0.1430 0.3023 0.7257
0.8570 0.6977 0.2743
0.0833 0.7718 0.4830
0.1875 0.1572 0.9041
0.2024 0.6055 0.8957
0.3748 0.0639 0.2528
0.4594 0.3657 0.6867
0.5406 0.6343 0.3133
0.6252 0.9361 0.7472
0.7976 0.3945 0.1043
0.8125 0.8428 0.0959
0.9167 0.2282 0.5170
```

The 10 most intense peaks (15° ≤ 2θ ≤ 90°), by intensity:
| 2θ/deg | d_spacing | I (rel.) |
| --- | --- | --- |
| 27.3 | 3.268 | 100 |
| 31.1 | 2.874 | 51 |
| 31.5 | 2.844 | 38 |
| 30.4 | 2.940 | 27 |
| 25.9 | 3.439 | 24 |
| 30.2 | 2.961 | 21 |
| 42.2 | 2.143 | 19 |
| 18.6 | 4.768 | 19 |
| 33.9 | 2.641 | 18 |
| 58.1 | 1.589 | 16 |